Simulated powder diffractogram of TlAg2S2 for Cu Kα, from a DFT-relaxed cell (PBE, Alexandria).
Intensities are scaled so that the largest is 1000.

Atomic structure:
a b c (Å): 4.3182 4.3182 12.1993
angles (deg): 90.00 90.00 90.00
Space group I4/mmm (No. 139)
One atom of each set of equivalent atoms:
Tl1 0.0000 0.0000 0.0000 x2
Ag1 0.0000 0.5000 0.2500 x4
S1 0.0000 0.0000 0.3709 x4

The 12 most intense peaks (2θ = 10–90°), sorted by position:
d [Å]  2theta  I/Imax  index
4.071  21.8  345  1 0 1
3.050  29.3  248  0 0 4
2.960  30.2  438  1 0 3
2.730  32.8  1000  1 1 2
2.159  41.8  364  2 0 0
2.124  42.6  157  1 0 5
1.762  51.9  200  2 0 4
1.744  52.5  184  2 1 3
1.692  54.2  250  1 1 6
1.526  60.7  166  2 2 0
1.333  70.7  210  3 1 2
1.133  85.7  197  3 1 6

***

Simulated powder diffractogram of Li11Ge6 for Cu Kα, from a DFT-relaxed cell (PBE, Alexandria).
Intensities are scaled so that the largest is 1000.

Atomic structure:
a b c (Å): 4.3552 24.8046 10.5557
angles (deg): 90.00 90.00 90.00
Space group Cmcm (No. 63)
One atom of each set of equivalent atoms:
Li1 0.0000 0.0246 0.2500 x4
Li2 0.0000 0.0873 0.5012 x8
Li3 0.0000 0.1428 0.2500 x4
Li4 0.0000 0.1790 0.6185 x8
Li5 0.0000 0.2424 0.1067 x8
Li6 0.0000 0.3606 0.2500 x4
Li7 0.0000 0.4644 0.1148 x8
Ge1 0.0000 0.0808 0.7500 x4
Ge2 0.0000 0.2715 0.7500 x4
Ge3 0.0000 0.3293 0.5517 x8
Ge4 0.0000 0.4248 0.6337 x8

The 12 most intense peaks (2θ = 10–90°), sorted by position:
d [Å]  2theta  I/Imax  index
8.038  11.0  425  0 2 1
4.290  20.7  320  1 1 0
3.974  22.4  1000  1 1 1
3.852  23.1  345  1 3 0
3.620  24.6  239  1 3 1
3.385  26.3  387  0 2 3
3.255  27.4  464  0 6 2
3.126  28.6  250  1 5 1
2.178  41.5  410  2 0 0
2.054  44.1  284  1 5 4
2.027  44.7  288  0 10 3
1.999  45.4  272  0 4 5

***

Simulated powder diffractogram of K2TlIn3Hg4 for Cu Kα, from a DFT-relaxed cell (PBE, Alexandria).
Intensities are scaled so that the largest is 1000.

Atomic structure:
a b c (Å): 4.9967 4.9967 12.5652
angles (deg): 90.00 90.00 90.00
Space group P-4m2 (No. 115)
One atom of each set of equivalent atoms:
K1 0.0000 0.5000 0.2439 x2
Tl1 0.0000 0.0000 0.5000 x1
In1 0.0000 0.5000 0.8730 x2
In2 0.5000 0.5000 0.5000 x1
Hg1 0.0000 0.0000 0.0000 x1
Hg2 0.0000 0.5000 0.6435 x2
Hg3 0.5000 0.5000 0.0000 x1

The 12 most intense peaks (2θ = 10–90°), sorted by position:
d [Å]  2theta  I/Imax  index
6.283  14.1  466  0 0 2
4.643  19.1  548  1 0 1
3.210  27.8  244  1 0 3
3.080  29.0  1000  1 1 2
2.498  35.9  727  2 0 0
2.348  38.3  900  1 1 4
2.322  38.8  168  2 0 2
2.245  40.2  221  1 0 5
1.767  51.7  256  2 2 0
1.670  55.0  175  2 1 5
1.532  60.4  251  3 1 2
1.412  66.2  369  3 1 4